Diffraction record for Tm3CoSn. The PXRD pattern is simulated, not measured: it uses the PBE geometry in Alexandria and λ = 1.5418 Å (Cu Kα).

The 10 most intense peaks (10° ≤ 2θ ≤ 80°), in order of rising 2θ:
2θ (°), intensity
31.00, 1000
34.89, 298
36.34, 196
36.58, 262
51.26, 147
51.44, 199
52.52, 137
60.15, 157
62.41, 141
64.61, 147

Atomic structure:
a b c (Å): 4.913 5.144 9.889
angles (deg): 90.00 90.05 90.00
Fractional coordinates of all 10 atoms:
Tm1 0.000 0.250 0.113
Tm2 0.000 0.750 0.887
Tm3 0.001 0.750 0.334
Tm4 0.499 0.750 0.633
Tm5 0.501 0.250 0.367
Tm6 0.999 0.250 0.666
Co1 0.001 0.250 0.392
Co2 0.999 0.750 0.608
Sn1 0.500 0.250 0.871
Sn2 0.500 0.750 0.129